Theoretical powder diffraction line list of Pm5In2Ge2 for Cu Kα X-rays, from a crystal structure in Alexandria, relaxed with PBE.
Kinematic intensities with the Lorentz-polarization factor, no thermal factor.

Main lines, sorted by position (10 to 90 degrees two-theta):
| h k l | Position (°2θ) | I (rel.) |
| --- | --- | --- |
| 3 1 2 | 30.02 | 75 |
| 4 0 2 | 31.47 | 92 |
| 4 2 0 | 31.61 | 100 |
| 0 2 2 | 31.77 | 76 |
| 5 1 1 | 31.92 | 41 |
| 4 2 1 | 33.58 | 81 |
| 1 1 3 | 35.97 | 51 |
| 1 3 1 | 36.20 | 50 |
| 5 1 2 | 37.53 | 35 |
| 0 4 1 | 47.21 | 39 |

Crystal structure
Lattice parameters (Å, degrees): 16.164 7.934 7.999 90.00 90.00 90.00
Space group Cmce (No. 64)
Symmetry-distinct sites (fractional):
Pm: 0.000 0.000 0.000 (multiplicity 4)
Pm: 0.127 0.184 0.321 (multiplicity 16)
In: 0.219 0.000 0.000 (multiplicity 8)
Ge: 0.000 0.121 0.624 (multiplicity 8)

***

Theoretical powder diffraction line list of Na2PuCuO5 for Cu Kα X-rays, from a crystal structure in Alexandria, relaxed with PBE.
Kinematic intensities with the Lorentz-polarization factor, no thermal factor.

Main lines, sorted by position (10 to 90 degrees two-theta):
| h k l | Position (°2θ) | I (rel.) |
| --- | --- | --- |
| 0 0 1 | 15.31 | 100 |
| 1 1 0 | 21.18 | 31 |
| 1 1 1 | 26.24 | 42 |
| 2 0 0 | 30.13 | 44 |
| 0 0 2 | 30.90 | 28 |
| 2 0 1 | 33.96 | 78 |
| 2 2 0 | 43.13 | 27 |
| 2 0 2 | 43.70 | 49 |
| 2 2 1 | 46.03 | 32 |
| 2 2 2 | 54.00 | 24 |

Crystal structure
Lattice parameters (Å, degrees): 5.932 5.932 5.787 90.00 90.00 90.00
Space group P4/mbm (No. 127)
Symmetry-distinct sites (fractional):
Na: 0.154 0.346 0.000 (multiplicity 4)
Pu: 0.000 0.000 0.500 (multiplicity 2)
Cu: 0.000 0.500 0.500 (multiplicity 2)
O: 0.000 0.000 0.000 (multiplicity 2)
O: 0.168 0.668 0.299 (multiplicity 8)

***

Theoretical powder diffraction line list of K2Hg2Pb for Cu Kα X-rays, from a crystal structure in Alexandria, relaxed with PBE.
Kinematic intensities with the Lorentz-polarization factor, no thermal factor.

Main lines, sorted by position (10 to 90 degrees two-theta):
| h k l | Position (°2θ) | I (rel.) |
| --- | --- | --- |
| 0 0 2 | 16.61 | 97 |
| 1 1 2 | 27.63 | 40 |
| 1 2 1 | 33.43 | 100 |
| 0 0 4 | 33.58 | 25 |
| 2 0 0 | 34.84 | 27 |
| 2 0 2 | 38.83 | 25 |
| 1 2 3 | 41.31 | 42 |
| 2 0 4 | 49.16 | 18 |
| 1 2 5 | 54.25 | 30 |
| 3 2 1 | 61.57 | 18 |

Crystal structure
Lattice parameters (Å, degrees): 5.150 6.569 10.676 90.00 90.00 90.00
Space group Immm (No. 71)
Symmetry-distinct sites (fractional):
K: 0.000 0.000 0.200 (multiplicity 4)
Hg: 0.000 0.265 0.500 (multiplicity 4)
Pb: 0.000 0.500 0.000 (multiplicity 2)

***

Theoretical powder diffraction line list of La3Sm6Sc2 for Cu Kα X-rays, from a crystal structure in Alexandria, relaxed with PBE.
Kinematic intensities with the Lorentz-polarization factor, no thermal factor.

Main lines, sorted by position (10 to 90 degrees two-theta):
| h k l | Position (°2θ) | I (rel.) |
| --- | --- | --- |
| 0 0 3 | 25.75 | 21 |
| 1 3 0 | 26.90 | 16 |
| 1 3 1 | 28.26 | 25 |
| 2 0 0 | 30.79 | 72 |
| 1 1 3 | 30.98 | 44 |
| 1 3 2 | 32.04 | 100 |
| 2 4 1 | 44.09 | 17 |
| 3 3 2 | 55.57 | 21 |
| 1 7 3 | 62.07 | 23 |
| 3 7 3 | 79.28 | 17 |

Crystal structure
Lattice parameters (Å, degrees): 5.805 12.113 10.381 90.00 90.00 90.00
Space group Cmmm (No. 65)
Symmetry-distinct sites (fractional):
La: 0.000 0.000 0.000 (multiplicity 2)
La: 0.000 0.292 0.000 (multiplicity 4)
Sm: 0.000 0.150 0.319 (multiplicity 8)
Sm: 0.000 0.500 0.214 (multiplicity 4)
Sc: 0.000 0.373 0.500 (multiplicity 4)

***

Theoretical powder diffraction line list of Tb3Sm3Al for Cu Kα X-rays, from a crystal structure in Alexandria, relaxed with PBE.
Kinematic intensities with the Lorentz-polarization factor, no thermal factor.

Main lines, sorted by position (10 to 90 degrees two-theta):
| h k l | Position (°2θ) | I (rel.) |
| --- | --- | --- |
| 1 2 0 | 29.06 | 25 |
| 0 0 2 | 32.28 | 25 |
| 1 2 1 | 33.33 | 100 |
| 1 2 2 | 43.98 | 16 |
| 4 1 0 | 51.50 | 19 |
| 1 2 3 | 58.23 | 20 |
| 4 1 2 | 62.10 | 22 |
| 2 4 1 | 62.74 | 15 |
| 7 0 1 | 85.39 | 11 |
| 4 1 4 | 89.75 | 8 |

Crystal structure
Lattice parameters (Å, degrees): 9.3889 9.3889 5.5470 90.00 90.00 120.00
Space group P6_3/m (No. 176)
Symmetry-distinct sites (fractional):
Tb: 0.0663 0.8207 0.2500 (multiplicity 6)
Sm: 0.1071 0.6247 0.7500 (multiplicity 6)
Al: 0.3333 0.6667 0.2500 (multiplicity 2)

***

Theoretical powder diffraction line list of Ca2PH2 for Cu Kα X-rays, from a crystal structure in Alexandria, relaxed with PBE.
Kinematic intensities with the Lorentz-polarization factor, no thermal factor.

Main lines, sorted by position (10 to 90 degrees two-theta):
| h k l | Position (°2θ) | I (rel.) |
| --- | --- | --- |
| 1 0 1 | 25.88 | 7 |
| 1 0 3 | 32.80 | 100 |
| 1 1 0 | 35.50 | 43 |
| 0 0 6 | 42.77 | 7 |
| 1 0 5 | 43.75 | 8 |
| 1 1 4 | 45.90 | 7 |
| 2 0 0 | 51.08 | 15 |
| 1 1 6 | 56.75 | 12 |
| 2 1 3 | 62.04 | 27 |
| 2 0 6 | 68.76 | 6 |

Crystal structure
Lattice parameters (Å, degrees): 3.576 3.576 12.686 90.00 90.00 90.00
Space group I4/mmm (No. 139)
Symmetry-distinct sites (fractional):
Ca: 0.000 0.000 0.144 (multiplicity 4)
P: 0.000 0.000 0.500 (multiplicity 2)
H: 0.000 0.500 0.250 (multiplicity 4)

***

Theoretical powder diffraction line list of Tb5Ho5Er2 for Cu Kα X-rays, from a crystal structure in Alexandria, relaxed with PBE.
Kinematic intensities with the Lorentz-polarization factor, no thermal factor.

Main lines, sorted by position (10 to 90 degrees two-theta):
| h k l | Position (°2θ) | I (rel.) |
| --- | --- | --- |
| 3 1 1 | 31.05 | 100 |
| 0 2 0 | 36.01 | 51 |
| 6 0 2 | 51.84 | 36 |
| 3 3 1 | 61.67 | 43 |
| 6 2 2 | 64.73 | 12 |
| 0 4 0 | 76.36 | 6 |
| 9 1 3 | 84.69 | 18 |
| 12 0 0 | 87.43 | 14 |
| 12 0 -8 | 87.49 | 3 |

Crystal structure
Lattice parameters (Å, degrees): 14.961 4.992 11.150 90.00 116.55 90.00
Space group C2/m (No. 12)
Symmetry-distinct sites (fractional):
Tb: 0.000 0.000 0.000 (multiplicity 2)
Tb: 0.083 0.000 0.750 (multiplicity 4)
Tb: 0.166 0.000 0.500 (multiplicity 4)
Ho: 0.000 0.500 0.500 (multiplicity 2)
Ho: 0.167 0.500 0.000 (multiplicity 4)
Ho: 0.249 0.000 0.249 (multiplicity 4)
Er: 0.083 0.500 0.250 (multiplicity 4)

***

Theoretical powder diffraction line list of NaTl6Br8 for Cu Kα X-rays, from a crystal structure in Alexandria, relaxed with PBE.
Kinematic intensities with the Lorentz-polarization factor, no thermal factor.

Main lines, sorted by position (10 to 90 degrees two-theta):
| h k l | Position (°2θ) | I (rel.) |
| --- | --- | --- |
| 1 0 1 | 20.07 | 24 |
| 1 2 0 | 24.44 | 48 |
| 2 0 1 | 25.73 | 21 |
| 3 -2 1 | 30.40 | 100 |
| 0 0 2 | 36.07 | 21 |
| 2 2 1 | 37.01 | 24 |
| 1 4 0 | 43.01 | 19 |
| 1 2 2 | 44.05 | 21 |
| 5 -1 2 | 57.35 | 15 |
| 3 -2 3 | 61.39 | 19 |

Crystal structure
Lattice parameters (Å, degrees): 11.1282 11.1282 4.9800 90.00 90.00 120.00
Space group P-3 (No. 147)
Symmetry-distinct sites (fractional):
Na: 0.0000 0.0000 0.0000 (multiplicity 1)
Tl: 0.1176 0.4562 0.7452 (multiplicity 6)
Br: 0.0231 0.7421 0.7578 (multiplicity 6)
Br: 0.3333 0.6667 0.2415 (multiplicity 2)

***

Theoretical powder diffraction line list of Sc for Cu Kα X-rays, from a crystal structure in Alexandria, relaxed with PBE.
Kinematic intensities with the Lorentz-polarization factor, no thermal factor.

Main lines, sorted by position (10 to 90 degrees two-theta):
| h k l | Position (°2θ) | I (rel.) |
| --- | --- | --- |
| 0 0 4 | 31.79 | 57 |
| 1 1 1 | 32.44 | 100 |
| 0 2 0 | 34.31 | 51 |
| 1 1 3 | 39.74 | 95 |
| 0 2 4 | 47.47 | 34 |
| 1 3 1 | 60.27 | 14 |
| 1 3 3 | 65.11 | 19 |
| 2 2 0 | 65.59 | 13 |
| 1 1 7 | 66.81 | 23 |
| 2 2 4 | 74.74 | 15 |

Crystal structure
Lattice parameters (Å, degrees): 3.394 5.227 11.259 90.00 90.00 90.00
Space group Fmmm (No. 69)
Symmetry-distinct sites (fractional):
Sc: 0.000 0.000 0.138 (multiplicity 8)

***

Theoretical powder diffraction line list of AuS2O6F2 for Cu Kα X-rays, from a crystal structure in Alexandria, relaxed with PBE.
Kinematic intensities with the Lorentz-polarization factor, no thermal factor.

Main lines, sorted by position (10 to 90 degrees two-theta):
| h k l | Position (°2θ) | I (rel.) |
| --- | --- | --- |
| 0 0 1 | 12.00 | 61 |
| 1 0 0 | 19.50 | 22 |
| 1 0 1 | 22.96 | 100 |
| 1 0 2 | 31.22 | 45 |
| 1 1 0 | 34.12 | 25 |
| 2 -1 1 | 36.29 | 17 |
| 0 2 1 | 41.53 | 21 |
| 0 1 3 | 41.76 | 22 |
| 2 -1 2 | 42.23 | 16 |
| 2 1 1 | 54.79 | 18 |

Crystal structure
Lattice parameters (Å, degrees): 5.2558 5.2558 7.3745 90.00 90.00 120.00
Space group P-3 (No. 147)
Symmetry-distinct sites (fractional):
Au: 0.0000 0.0000 0.0000 (multiplicity 1)
S: 0.3333 0.6667 0.7705 (multiplicity 2)
O: 0.0638 0.6681 0.8171 (multiplicity 6)
F: 0.3333 0.6667 0.5550 (multiplicity 2)

***

Theoretical powder diffraction line list of SiAgF4 for Cu Kα X-rays, from a crystal structure in Alexandria, relaxed with PBE.
Kinematic intensities with the Lorentz-polarization factor, no thermal factor.

Main lines, sorted by position (10 to 90 degrees two-theta):
| h k l | Position (°2θ) | I (rel.) |
| --- | --- | --- |
| 2 0 0 | 21.61 | 100 |
| 1 0 1 | 25.87 | 36 |
| 1 1 1 | 28.09 | 17 |
| 2 2 0 | 30.74 | 17 |
| 2 1 1 | 33.95 | 97 |
| 3 1 0 | 34.48 | 23 |
| 4 0 0 | 44.03 | 13 |
| 3 2 1 | 46.45 | 14 |
| 4 1 1 | 51.78 | 29 |
| 3 1 2 | 60.42 | 15 |

Crystal structure
Lattice parameters (Å, degrees): 8.226 8.226 3.792 90.00 90.00 90.00
Space group P4/nmm (No. 129, origin choice 2)
Symmetry-distinct sites (fractional):
Si: 0.250 0.750 0.000 (multiplicity 2)
Ag: 0.250 0.250 0.297 (multiplicity 2)
F: 0.089 0.750 0.231 (multiplicity 8)

***

Theoretical powder diffraction line list of NbTl2Ga for Cu Kα X-rays, from a crystal structure in Alexandria, relaxed with PBE.
Kinematic intensities with the Lorentz-polarization factor, no thermal factor.

Main lines, sorted by position (10 to 90 degrees two-theta):
| h k l | Position (°2θ) | I (rel.) |
| --- | --- | --- |
| 2 0 0 | 24.71 | 20 |
| 2 2 0 | 35.23 | 100 |
| 2 2 2 | 43.51 | 6 |
| 4 0 0 | 50.68 | 18 |
| 4 2 0 | 57.17 | 9 |
| 4 2 2 | 63.22 | 37 |
| 4 4 0 | 74.49 | 11 |
| 6 0 0 | 79.87 | 4 |
| 6 2 0 | 85.17 | 16 |

Crystal structure
Lattice parameters (Å, degrees): 7.206 7.206 7.206 90.00 90.00 90.00
Space group Fm-3m (No. 225)
Symmetry-distinct sites (fractional):
Nb: 0.000 0.000 0.000 (multiplicity 4)
Tl: 0.250 0.250 0.250 (multiplicity 8)
Ga: 0.000 0.000 0.500 (multiplicity 4)

***

Theoretical powder diffraction line list of Na2CaMnI6 for Cu Kα X-rays, from a crystal structure in Alexandria, relaxed with PBE.
Kinematic intensities with the Lorentz-polarization factor, no thermal factor.

Main lines, sorted by position (10 to 90 degrees two-theta):
| h k l | Position (°2θ) | I (rel.) |
| --- | --- | --- |
| 0 1 2 | 15.50 | 13 |
| 0 0 6 | 25.43 | 18 |
| 2 -1 3 | 25.98 | 100 |
| 0 2 4 | 31.30 | 8 |
| 1 1 6 | 34.28 | 31 |
| 3 0 0 | 39.69 | 25 |
| 2 -1 9 | 45.16 | 23 |
| 3 0 6 | 47.73 | 12 |
| 2 2 3 | 48.05 | 13 |
| 3 0 12 | 67.55 | 9 |

Crystal structure
Lattice parameters (Å, degrees): 7.8665 7.8665 21.0154 90.00 90.00 120.00
Space group R3 (No. 146, hexagonal axes)
Symmetry-distinct sites (fractional):
Na: 0.0000 0.0000 0.0000 (multiplicity 3)
Na: 0.0000 0.0000 0.4973 (multiplicity 3)
Ca: 0.0000 0.0000 0.3046 (multiplicity 3)
Mn: 0.0000 0.0000 0.8061 (multiplicity 3)
I: 0.0233 0.6440 0.5577 (multiplicity 9)
I: 0.0409 0.3405 0.3968 (multiplicity 9)